Diffraction record for SmYTl2. The XRD peak list is calculated, not measured: it uses the PBE geometry in the Materials Project and Cu Kα X-rays.
Peak positions follow from Bragg's law for the DFT cell and can differ from measured ones.

Main lines, by angle (2θ = 10–90°):
- (1 1 1), 20.06°, I = 2
- (2 0 0), 23.20°, I = 7
- (2 2 0), 33.05°, I = 100
- (2 2 2), 40.77°, I = 2
- (4 0 0), 47.43°, I = 18
- (4 2 0), 53.44°, I = 3
- (4 2 2), 59.02°, I = 38
- (4 4 0), 69.33°, I = 12
- (6 2 0), 78.98°, I = 17
- (4 4 4), 88.31°, I = 4

Atomic structure:
```
data_SmYTl2
_chemical_formula_sum 'Sm4 Y4 Tl8'
_space_group_name_H-M_alt 'F m -3 m'
_space_group_IT_number 225
_space_group_name_Hall '-F 4 2 3'
_cell_length_a 7.667
_cell_length_b 7.667
_cell_length_c 7.667
_cell_angle_alpha 90.00
_cell_angle_beta 90.00
_cell_angle_gamma 90.00
loop_
_atom_site_label
_atom_site_type_symbol
_atom_site_fract_x
_atom_site_fract_y
_atom_site_fract_z
Sm1 Sm 0.000 0.000 0.000
Y1 Y 0.000 0.000 0.500
Tl1 Tl 0.250 0.250 0.250
```

=====

Diffraction record for Sm3Tm. The XRD peak list is calculated, not measured: it uses the PBE geometry in the Materials Project and Cu Kα X-rays.
Peak positions follow from Bragg's law for the DFT cell and can differ from measured ones.

Main lines, by angle (2θ = 10–90°):
- (1 1 1), 30.43°, I = 100
- (2 0 0), 35.28°, I = 51
- (2 2 0), 50.75°, I = 36
- (3 1 1), 60.33°, I = 43
- (2 2 2), 63.31°, I = 12
- (4 0 0), 74.60°, I = 6
- (3 3 1), 82.66°, I = 18
- (4 2 0), 85.31°, I = 17

Atomic structure:
```
data_Sm3Tm
_chemical_formula_sum 'Sm3 Tm1'
_space_group_name_H-M_alt 'P m -3 m'
_space_group_IT_number 221
_space_group_name_Hall '-P 4 2 3'
_cell_length_a 5.088
_cell_length_b 5.088
_cell_length_c 5.088
_cell_angle_alpha 90.00
_cell_angle_beta 90.00
_cell_angle_gamma 90.00
loop_
_atom_site_label
_atom_site_type_symbol
_atom_site_fract_x
_atom_site_fract_y
_atom_site_fract_z
Sm1 Sm 0.000 0.000 0.500
Tm1 Tm 0.500 0.500 0.500
```

=====

Diffraction record for Sm3Tm. The XRD peak list is calculated, not measured: it uses the PBE geometry in the Materials Project and Cu Kα X-rays.
Peak positions follow from Bragg's law for the DFT cell and can differ from measured ones.

Main lines, by angle (2θ = 10–90°):
- (1 1 2), 30.34°, I = 100
- (2 0 0), 35.12°, I = 34
- (0 0 4), 35.29°, I = 17
- (2 2 0), 50.51°, I = 12
- (2 0 4), 50.64°, I = 24
- (3 1 2), 60.07°, I = 29
- (1 1 6), 60.30°, I = 14
- (2 2 4), 63.12°, I = 12
- (3 3 2), 82.25°, I = 6
- (3 1 6), 82.45°, I = 12

Atomic structure:
```
data_Sm3Tm
_chemical_formula_sum 'Sm6 Tm2'
_space_group_name_H-M_alt 'I 4/m m m'
_space_group_IT_number 139
_space_group_name_Hall '-I 4 2'
_cell_length_a 5.111
_cell_length_b 5.111
_cell_length_c 10.172
_cell_angle_alpha 90.00
_cell_angle_beta 90.00
_cell_angle_gamma 90.00
loop_
_atom_site_label
_atom_site_type_symbol
_atom_site_fract_x
_atom_site_fract_y
_atom_site_fract_z
Sm1 Sm 0.000 0.000 0.000
Sm2 Sm 0.000 0.500 0.250
Tm1 Tm 0.000 0.000 0.500
```

=====

Diffraction record for SmTm3. The XRD peak list is calculated, not measured: it uses the PBE geometry in the Materials Project and Cu Kα X-rays.
Peak positions follow from Bragg's law for the DFT cell and can differ from measured ones.

Main lines, by angle (2θ = 10–90°):
- (1 1 1), 31.11°, I = 100
- (2 0 0), 36.07°, I = 51
- (2 2 0), 51.93°, I = 36
- (3 1 1), 61.78°, I = 43
- (2 2 2), 64.86°, I = 12
- (4 0 0), 76.52°, I = 6
- (3 3 1), 84.87°, I = 18
- (4 2 0), 87.62°, I = 17

Atomic structure:
```
data_SmTm3
_chemical_formula_sum 'Sm1 Tm3'
_space_group_name_H-M_alt 'P m -3 m'
_space_group_IT_number 221
_space_group_name_Hall '-P 4 2 3'
_cell_length_a 4.980
_cell_length_b 4.980
_cell_length_c 4.980
_cell_angle_alpha 90.00
_cell_angle_beta 90.00
_cell_angle_gamma 90.00
loop_
_atom_site_label
_atom_site_type_symbol
_atom_site_fract_x
_atom_site_fract_y
_atom_site_fract_z
Sm1 Sm 0.000 0.000 0.000
Tm1 Tm 0.000 0.500 0.500
```

=====

Diffraction record for SmTm3. The XRD peak list is calculated, not measured: it uses the PBE geometry in the Materials Project and Cu Kα X-rays.
Peak positions follow from Bragg's law for the DFT cell and can differ from measured ones.

Main lines, by angle (2θ = 10–90°):
- (2 0 0), 28.72°, I = 24
- (0 0 2), 32.01°, I = 24
- (2 0 1), 32.97°, I = 100
- (2 0 2), 43.54°, I = 16
- (2 2 0), 50.88°, I = 20
- (2 0 3), 57.67°, I = 20
- (2 2 2), 61.39°, I = 23
- (4 0 1), 61.97°, I = 16
- (4 2 1), 84.21°, I = 14
- (2 2 4), 88.70°, I = 9

Atomic structure:
```
data_SmTm3
_chemical_formula_sum 'Sm2 Tm6'
_space_group_name_H-M_alt 'P 63/m m c'
_space_group_IT_number 194
_space_group_name_Hall '-P 6c 2c'
_cell_length_a 7.1784
_cell_length_b 7.1784
_cell_length_c 5.5917
_cell_angle_alpha 90.00
_cell_angle_beta 90.00
_cell_angle_gamma 120.00
loop_
_atom_site_label
_atom_site_type_symbol
_atom_site_fract_x
_atom_site_fract_y
_atom_site_fract_z
Sm1 Sm 0.3333 0.6667 0.2500
Tm1 Tm 0.1658 0.3315 0.7500
```

=====

Diffraction record for Sm3Tm. The XRD peak list is calculated, not measured: it uses the PBE geometry in the Materials Project and Cu Kα X-rays.
Peak positions follow from Bragg's law for the DFT cell and can differ from measured ones.

Main lines, by angle (2θ = 10–90°):
- (2 0 0), 28.28°, I = 24
- (0 0 2), 30.99°, I = 25
- (2 0 1), 32.33°, I = 100
- (2 0 2), 42.45°, I = 16
- (2 2 0), 50.07°, I = 20
- (2 0 3), 55.98°, I = 21
- (2 2 2), 60.05°, I = 23
- (4 0 1), 60.87°, I = 16
- (4 2 1), 82.60°, I = 14
- (2 2 4), 85.93°, I = 9

Atomic structure:
```
data_Sm3Tm
_chemical_formula_sum 'Sm6 Tm2'
_space_group_name_H-M_alt 'P 63/m m c'
_space_group_IT_number 194
_space_group_name_Hall '-P 6c 2c'
_cell_length_a 7.2876
_cell_length_b 7.2876
_cell_length_c 5.7720
_cell_angle_alpha 90.00
_cell_angle_beta 90.00
_cell_angle_gamma 120.00
loop_
_atom_site_label
_atom_site_type_symbol
_atom_site_fract_x
_atom_site_fract_y
_atom_site_fract_z
Sm1 Sm 0.1671 0.3342 0.2500
Tm1 Tm 0.3333 0.6667 0.7500
```

=====

Which formula does entry 5 have? SmTm3

=====

Which formula does entry 2 have? Sm3Tm